No. 1
Computed powder X-ray diffraction pattern of Sm6CdSi2S14 for Cu Kα (weighted mean of Kα1 and Kα2), from a structure optimized by DFT (PBE).

Cell and atoms:
Cell lengths 10.159, 10.159, 5.693 Å; angles 90.00, 90.00, 120.00 degrees
Atoms (fractional coordinates):
Sm: 0.025 0.457 0.000
Sm: 0.309 0.209 0.496
Sm: 0.433 0.975 0.000
Sm: 0.543 0.567 0.000
Sm: 0.791 0.100 0.496
Sm: 0.900 0.691 0.496
Cd: 0.667 0.333 0.737
Si: 0.000 0.000 0.082
Si: 0.333 0.667 0.590
S: 0.000 0.000 0.713
S: 0.077 0.221 0.231
S: 0.144 0.923 0.231
S: 0.189 0.744 0.736
S: 0.256 0.445 0.736
S: 0.333 0.667 0.219
S: 0.409 0.243 0.977
S: 0.497 0.076 0.486
S: 0.555 0.811 0.736
S: 0.579 0.503 0.486
S: 0.757 0.165 0.977
S: 0.779 0.856 0.231
S: 0.835 0.591 0.977
S: 0.924 0.421 0.486

Main lines, by angle (5° ≤ 2θ ≤ 70°):
2θ 18.6, rel. 39; 2θ 23.5, rel. 48; 2θ 25.6, rel. 100; 2θ 26.8, rel. 39; 2θ 35.3, rel. 37; 2θ 36.8, rel. 55; 2θ 37.6, rel. 43; 2θ 40.2, rel. 52

---

No. 2
Computed powder X-ray diffraction pattern of TaCdSiS2 for Cu Kα (weighted mean of Kα1 and Kα2), from a structure optimized by DFT (PBE).

Cell and atoms:
Cell lengths 4.721, 4.721, 5.253 Å; angles 90.00, 90.00, 90.00 degrees
Atoms (fractional coordinates):
Ta: 0.000 0.000 0.000
Cd: 0.500 0.500 0.500
Si: 0.000 0.000 0.500
S: 0.000 0.500 0.000
S: 0.500 0.000 0.000

Main lines, by angle (5° ≤ 2θ ≤ 70°):
2θ 25.4, rel. 100; 2θ 26.7, rel. 41; 2θ 34.1, rel. 25; 2θ 38.1, rel. 37; 2θ 43.9, rel. 22; 2θ 46.4, rel. 40; 2θ 52.1, rel. 29; 2θ 66.4, rel. 14

---

No. 3
Computed powder X-ray diffraction pattern of Cd4SnS6 for Cu Kα (weighted mean of Kα1 and Kα2), from a structure optimized by DFT (PBE).

Cell and atoms:
Cell lengths 7.351, 7.351, 12.766 Å; angles 106.43, 106.43, 60.51 degrees
Atoms (fractional coordinates):
Cd: 0.082 0.918 0.500
Cd: 0.238 0.453 0.000
Cd: 0.432 0.848 0.845
Cd: 0.453 0.238 0.500
Cd: 0.714 0.934 0.191
Cd: 0.848 0.432 0.345
Cd: 0.918 0.082 0.000
Cd: 0.934 0.714 0.691
Sn: 0.302 0.842 0.254
Sn: 0.842 0.302 0.754
S: 0.085 0.566 0.507
S: 0.109 0.639 0.191
S: 0.110 0.180 0.198
S: 0.170 0.736 0.885
S: 0.180 0.110 0.698
S: 0.419 0.878 0.450
S: 0.566 0.085 0.007
S: 0.621 0.629 0.178
S: 0.629 0.621 0.678
S: 0.639 0.109 0.691
S: 0.736 0.170 0.385
S: 0.878 0.419 0.950

Main lines, by angle (5° ≤ 2θ ≤ 70°):
2θ 24.1, rel. 96; 2θ 25.2, rel. 65; 2θ 25.4, rel. 90; 2θ 28.3, rel. 100; 2θ 28.4, rel. 56; 2θ 29.6, rel. 92; 2θ 33.0, rel. 57; 2θ 42.4, rel. 64

---

No. 4
Computed powder X-ray diffraction pattern of Cd2SnS4 for Cu Kα (weighted mean of Kα1 and Kα2), from a structure optimized by DFT (PBE).

Cell and atoms:
Cell lengths 7.805, 7.805, 10.985 Å; angles 90.00, 90.00, 90.00 degrees
Atoms (fractional coordinates):
Cd: 0.000 0.244 0.000
Cd: 0.000 0.756 0.500
Cd: 0.244 0.000 0.750
Cd: 0.253 0.253 0.375
Cd: 0.253 0.747 0.125
Cd: 0.747 0.253 0.625
Cd: 0.747 0.747 0.875
Cd: 0.756 0.000 0.250
Sn: 0.243 0.500 0.750
Sn: 0.500 0.243 0.000
Sn: 0.500 0.757 0.500
Sn: 0.757 0.500 0.250
S: 0.021 0.260 0.753
S: 0.021 0.740 0.747
S: 0.260 0.021 0.997
S: 0.260 0.480 0.986
S: 0.260 0.520 0.514
S: 0.260 0.979 0.503
S: 0.480 0.260 0.764
S: 0.480 0.740 0.736
S: 0.520 0.260 0.236
S: 0.520 0.740 0.264
S: 0.740 0.021 0.003
S: 0.740 0.480 0.014
S: 0.740 0.520 0.486
S: 0.740 0.979 0.497
S: 0.979 0.260 0.247
S: 0.979 0.740 0.253

Main lines, by angle (5° ≤ 2θ ≤ 70°):
2θ 22.8, rel. 27; 2θ 26.8, rel. 100; 2θ 32.4, rel. 17; 2θ 40.1, rel. 11; 2θ 42.6, rel. 32; 2θ 42.8, rel. 12; 2θ 46.5, rel. 21; 2θ 46.7, rel. 42